Record 1
Diffraction record for LiNi2P4H3O14. The powder XRD pattern is theoretical, not measured: it uses a structure optimized by DFT (PBE+U) and Cu Kα.
Intensities are scaled so that the largest is 1000.

Crystal structure
```
data_LiNi2P4H3O14
_symmetry_space_group_name_H-M 'C 1 c 1'
_symmetry_Int_Tables_number 9
_cell_length_a 11.037
_cell_length_b 12.978
_cell_length_c 8.886
_cell_angle_alpha 90.00
_cell_angle_beta 123.21
_cell_angle_gamma 90.00
loop_
_symmetry_equiv_pos_as_xyz
'x,y,z'
'x,-y,z+1/2'
'x+1/2,y+1/2,z'
'x+1/2,-y+1/2,z+1/2'
loop_
_atom_site_label
_atom_site_fract_x
_atom_site_fract_y
_atom_site_fract_z
Li1 0.000 0.140 0.000
Ni1 0.248 0.249 0.740
Ni2 0.496 0.405 0.991
P1 0.066 0.285 0.308
P2 0.217 0.044 0.926
P3 0.274 0.454 0.557
P4 0.428 0.212 0.171
H1 0.162 0.396 0.953
H2 0.272 0.249 0.252
H3 0.332 0.105 0.535
O1 0.088 0.313 0.781
O2 0.093 0.028 0.949
O3 0.110 0.217 0.473
O4 0.116 0.240 0.192
O5 0.154 0.392 0.386
O6 0.177 0.106 0.759
O7 0.198 0.445 0.058
O8 0.296 0.056 0.430
O9 0.315 0.394 0.726
O10 0.338 0.108 0.099
O11 0.381 0.282 0.011
O12 0.382 0.257 0.297
O13 0.399 0.472 0.536
O14 0.406 0.186 0.703
```

Peak list (10 most intense, 2θ = 5–70°, low angle first)
Position (°2θ)  d_spacing  intensity  (hkl)
11.76  7.524  414  1 1 0
12.46  7.106  1000  1 1 -1
21.18  4.194  398  2 2 -1
26.46  3.369  285  3 1 -2
27.66  3.225  660  0 2 2
29.02  3.077  194  1 3 -2
31.23  2.864  184  1 1 2
32.18  2.782  359  3 3 -1
43.17  2.096  157  4 4 -2
47.22  1.925  169  5 3 -3

=====

Record 2
Diffraction record for LiVP3HO10. The powder XRD pattern is theoretical, not measured: it uses a structure optimized by DFT (PBE+U) and Cu Kα.
Intensities are scaled so that the largest is 1000.

Crystal structure
```
data_LiVP3HO10
_symmetry_space_group_name_H-M 'P 1'
_symmetry_Int_Tables_number 1
_cell_length_a 6.363
_cell_length_b 6.433
_cell_length_c 6.517
_cell_angle_alpha 86.54
_cell_angle_beta 72.96
_cell_angle_gamma 73.81
loop_
_symmetry_equiv_pos_as_xyz
'x,y,z'
loop_
_atom_site_label
_atom_site_fract_x
_atom_site_fract_y
_atom_site_fract_z
Li1 0.000 0.000 0.000
V1 0.493 0.449 0.549
P1 0.388 0.983 0.656
P2 0.594 0.349 0.011
P3 0.995 0.349 0.640
H1 0.521 0.034 0.982
O1 0.135 0.097 0.613
O2 0.148 0.495 0.611
O3 0.330 0.979 0.902
O4 0.440 0.448 0.873
O5 0.467 0.765 0.543
O6 0.527 0.448 0.229
O7 0.543 0.127 0.550
O8 0.645 0.091 0.018
O9 0.838 0.388 0.502
O10 0.854 0.365 0.895
```

Peak list (10 most intense, 2θ = 5–70°, low angle first)
Position (°2θ)  d_spacing  intensity  (hkl)
14.22  6.229  1000  0 0 1
14.34  6.176  981  0 1 0
15.14  5.851  636  1 0 0
17.55  5.053  162  1 0 1
17.80  4.983  174  1 1 0
20.14  4.409  186  1 1 1
28.32  3.152  140  1 0 2
28.70  3.111  413  0 0 2
28.91  3.088  254  0 2 0
30.54  2.927  188  2 0 0

=====

Record 3
Diffraction record for LiVP4H4O14. The powder XRD pattern is theoretical, not measured: it uses a structure optimized by DFT (PBE+U) and Cu Kα.
Intensities are scaled so that the largest is 1000.

Crystal structure
```
data_LiVP4H4O14
_symmetry_space_group_name_H-M 'P -1'
_symmetry_Int_Tables_number 2
_cell_length_a 7.321
_cell_length_b 8.351
_cell_length_c 9.724
_cell_angle_alpha 110.60
_cell_angle_beta 103.05
_cell_angle_gamma 102.11
loop_
_symmetry_equiv_pos_as_xyz
'x,y,z'
'-x,-y,-z'
loop_
_atom_site_label
_atom_site_fract_x
_atom_site_fract_y
_atom_site_fract_z
Li1 0.015 0.259 0.265
V1 0.500 0.000 0.000
V2 0.500 0.500 0.500
P1 0.106 0.380 0.618
P2 0.106 0.880 0.117
P3 0.319 0.375 0.105
P4 0.321 0.875 0.605
H1 0.238 0.678 0.155
H2 0.242 0.179 0.655
H3 0.471 0.662 0.023
H4 0.472 0.161 0.524
O1 0.062 0.036 0.220
O2 0.064 0.536 0.721
O3 0.095 0.257 0.029
O4 0.095 0.758 0.527
O5 0.174 0.769 0.207
O6 0.179 0.270 0.707
O7 0.240 0.412 0.523
O8 0.246 0.914 0.027
O9 0.351 0.549 0.084
O10 0.354 0.050 0.586
O11 0.368 0.393 0.271
O12 0.368 0.891 0.770
O13 0.445 0.262 0.019
O14 0.445 0.762 0.519
```

Peak list (10 most intense, 2θ = 5–70°, low angle first)
Position (°2θ)  d_spacing  intensity  (hkl)
12.06  7.339  332  0 1 -1
20.66  4.300  287  0 0 2
23.42  3.798  965  1 -2 0
25.90  3.440  290  -2 1 1
27.25  3.273  226  1 -2 2
28.00  3.187  1000  1 0 2
28.39  3.144  461  1 1 -3
29.46  3.032  796  2 1 -1
32.66  2.742  340  1 -3 1
51.14  1.786  266  3 1 1